The following is a simulated powder diffractogram of PrNd2UP4. It was derived from the PBE geometry in Alexandria, using Cu Ka.
Intensities are scaled so that the largest is 1000.

Largest 10 diffraction maxima, in order of rising 2θ, 15° ≤ 2θ ≤ 90°:
26.53°, I 889, hkl 1 1 2; 30.73°, I 1000, hkl 2 0 0; 44.01°, I 737, hkl 2 2 0; 52.13°, I 447, hkl 1 1 6; 54.63°, I 259, hkl 2 2 4; 64.00°, I 121, hkl 4 0 0; 70.54°, I 185, hkl 3 1 6; 72.66°, I 335, hkl 4 2 0; 80.93°, I 254, hkl 4 2 4; 86.96°, I 75, hkl 1 1 10

Cell and atoms:
```
data_PrNd2UP4
_chemical_formula_sum 'Pr2 Nd4 U2 P8'
_cell_length_a 5.817
_cell_length_b 5.817
_cell_length_c 11.648
_cell_angle_alpha 90.00
_cell_angle_beta 90.00
_cell_angle_gamma 90.00
_space_group_name_H-M_alt 'I -4 m 2'
_space_group_IT_number 119
_space_group_name_Hall 'I -4 -2'
loop_
_atom_site_label
_atom_site_type_symbol
_atom_site_fract_x
_atom_site_fract_y
_atom_site_fract_z
Pr1 Pr 0.000 0.000 0.000
Nd1 Nd 0.000 0.000 0.500
Nd2 Nd 0.000 0.500 0.250
U1 U 0.000 0.500 0.750
P1 P 0.000 0.000 0.251
P2 P 0.000 0.500 0.512
```